Theoretical X-ray diffraction stick pattern
Compound: BeTcW
Radiation: Cu Kα, 1.54184 Å
Structure: DFT lattice parameters and positions (GGA-PBE)

Structural model:
```
BeTcW
1.0
0.000 4.023 4.025
2.353 0.000 4.025
2.353 4.023 0.000
Be Tc W
2 2 2
Direct
0.250 0.250 0.250
0.750 0.750 0.750
0.166 0.834 0.166
0.834 0.166 0.834
0.337 0.337 0.663
0.663 0.663 0.337
```

The 10 most intense peaks (5° ≤ 2θ ≤ 70°), in order of rising 2θ:
Position (°2θ)	I (rel.)
22.10	19
24.55	7
31.44	17
38.26	24
40.29	100
44.62	8
45.07	4
50.33	11
50.73	13
65.28	10